Structure and calculated X-ray diffraction stick pattern of Dy3Er2S7 (the PBE geometry in OQMD; Cu Ka).
Neutral-atom scattering factors, no anomalous dispersion.

The 8 most intense peaks (10 to 90 degrees two-theta), in order of rising 2θ:
d = 3.706 Å, intensity 812; d = 3.622 Å, intensity 1000; d = 3.375 Å, intensity 335; d = 3.190 Å, intensity 381; d = 2.822 Å, intensity 371; d = 2.686 Å, intensity 471; d = 2.604 Å, intensity 349; d = 2.139 Å, intensity 279

Crystal structure
abc: 6.658 6.658 11.558
angles: 103.99 103.99 33.08
Positions (direct):
Dy 0.000 0.000 0.000
Dy 0.300 0.300 0.189
Dy 0.700 0.700 0.811
Er 0.112 0.112 0.422
Er 0.888 0.888 0.578
S 0.040 0.040 0.784
S 0.260 0.260 0.646
S 0.340 0.340 0.949
S 0.500 0.500 0.500
S 0.660 0.660 0.051
S 0.740 0.740 0.354
S 0.960 0.960 0.216


Structure and calculated X-ray diffraction stick pattern of Ni9Ge2 (the PBE geometry in OQMD; Cu Ka).
Neutral-atom scattering factors, no anomalous dispersion.

The 8 most intense peaks (10 to 90 degrees two-theta), in order of rising 2θ:
d = 8.676 Å, intensity 244; d = 2.128 Å, intensity 421; d = 2.085 Å, intensity 1000; d = 2.041 Å, intensity 328; d = 1.824 Å, intensity 403; d = 1.769 Å, intensity 484; d = 1.291 Å, intensity 272; d = 1.091 Å, intensity 189

Crystal structure
abc: 2.582 2.582 34.703
angles: 90.00 90.00 120.00
Positions (direct):
Ni 0.000 0.000 0.000
Ni 0.000 0.000 0.172
Ni 0.000 0.000 0.828
Ni 0.333 0.667 0.114
Ni 0.333 0.667 0.771
Ni 0.333 0.667 0.943
Ni 0.667 0.333 0.057
Ni 0.667 0.333 0.229
Ni 0.667 0.333 0.886
Ge 0.333 0.667 0.288
Ge 0.667 0.333 0.712


Structure and calculated X-ray diffraction stick pattern of ZnCo8 (the PBE geometry in OQMD; Cu Ka).
Neutral-atom scattering factors, no anomalous dispersion.

The 8 most intense peaks (10 to 90 degrees two-theta), in order of rising 2θ:
d = 8.119 Å, intensity 268; d = 2.056 Å, intensity 981; d = 2.023 Å, intensity 1000; d = 1.977 Å, intensity 337; d = 1.929 Å, intensity 437; d = 1.807 Å, intensity 295; d = 1.761 Å, intensity 308; d = 1.732 Å, intensity 300

Crystal structure
abc: 4.286 4.286 24.358
angles: 90.31 90.31 47.67
Positions (direct):
Zn 0.048 0.048 0.222
Zn 0.952 0.952 0.778
Co 0.051 0.051 0.549
Co 0.149 0.149 0.646
Co 0.151 0.151 0.323
Co 0.248 0.248 0.419
Co 0.252 0.252 0.739
Co 0.350 0.350 0.516
Co 0.447 0.447 0.289
Co 0.451 0.451 0.613
Co 0.549 0.549 0.387
Co 0.553 0.553 0.711
Co 0.650 0.650 0.484
Co 0.748 0.748 0.261
Co 0.752 0.752 0.581
Co 0.849 0.849 0.677
Co 0.851 0.851 0.354
Co 0.949 0.949 0.451


Structure and calculated X-ray diffraction stick pattern of LaSmBC2 (the PBE geometry in OQMD; Cu Ka).
Neutral-atom scattering factors, no anomalous dispersion.

The 8 most intense peaks (10 to 90 degrees two-theta), in order of rising 2θ:
d = 3.642 Å, intensity 462; d = 3.612 Å, intensity 513; d = 2.773 Å, intensity 374; d = 2.714 Å, intensity 1000; d = 2.680 Å, intensity 626; d = 2.645 Å, intensity 581; d = 1.920 Å, intensity 485; d = 1.568 Å, intensity 266

Crystal structure
abc: 3.838 3.838 6.129
angles: 107.53 107.53 89.99
Positions (direct):
La 0.000 0.000 0.000
Sm 0.296 0.296 0.578
B 0.641 0.641 0.277
C 0.507 0.507 0.010
C 0.779 0.779 0.546


Structure and calculated X-ray diffraction stick pattern of Na4PdO3 (the PBE geometry in OQMD; Cu Ka).
Neutral-atom scattering factors, no anomalous dispersion.

The 8 most intense peaks (10 to 90 degrees two-theta), in order of rising 2θ:
d = 5.164 Å, intensity 427; d = 4.946 Å, intensity 643; d = 4.527 Å, intensity 541; d = 3.802 Å, intensity 1000; d = 3.279 Å, intensity 456; d = 2.491 Å, intensity 882; d = 2.464 Å, intensity 651; d = 2.401 Å, intensity 613

Crystal structure
abc: 6.282 6.282 8.070
angles: 110.54 110.54 53.28
Positions (direct):
Na 0.138 0.862 0.500
Na 0.418 0.996 0.906
Na 0.455 0.745 0.178
Na 0.593 0.952 0.569
Na 0.745 0.455 0.678
Na 0.862 0.138 0.000
Na 0.952 0.593 0.069
Na 0.996 0.418 0.406
Pd 0.260 0.508 0.802
Pd 0.508 0.260 0.302
O 0.179 0.217 0.661
O 0.217 0.179 0.161
O 0.546 0.572 0.407
O 0.572 0.546 0.907
O 0.766 0.867 0.323
O 0.867 0.766 0.823


Structure and calculated X-ray diffraction stick pattern of Li4Pm2O5 (the PBE geometry in OQMD; Cu Ka).
Neutral-atom scattering factors, no anomalous dispersion.

The 8 most intense peaks (10 to 90 degrees two-theta), in order of rising 2θ:
d = 6.918 Å, intensity 474; d = 4.614 Å, intensity 1000; d = 4.409 Å, intensity 595; d = 3.275 Å, intensity 657; d = 3.188 Å, intensity 310; d = 2.671 Å, intensity 562; d = 2.307 Å, intensity 542; d = 1.638 Å, intensity 354

Crystal structure
abc: 7.298 7.298 4.614
angles: 90.00 90.00 142.83
Positions (direct):
Li 0.000 0.000 0.000
Li 0.188 0.812 0.500
Li 0.500 0.500 0.500
Li 0.812 0.188 0.500
Pm 0.341 0.659 0.000
Pm 0.659 0.341 0.000
O 0.160 0.840 0.000
O 0.340 0.660 0.500
O 0.500 0.500 0.000
O 0.660 0.340 0.500
O 0.840 0.160 0.000


What did the fifth record say?
Structure and calculated X-ray diffraction stick pattern of Na4PdO3 (the PBE geometry in OQMD; Cu Ka).
Neutral-atom scattering factors, no anomalous dispersion.

The 8 most intense peaks (10 to 90 degrees two-theta), in order of rising 2θ:
d = 5.164 Å, intensity 427; d = 4.946 Å, intensity 643; d = 4.527 Å, intensity 541; d = 3.802 Å, intensity 1000; d = 3.279 Å, intensity 456; d = 2.491 Å, intensity 882; d = 2.464 Å, intensity 651; d = 2.401 Å, intensity 613

Crystal structure
abc: 6.282 6.282 8.070
angles: 110.54 110.54 53.28
Positions (direct):
Na 0.138 0.862 0.500
Na 0.418 0.996 0.906
Na 0.455 0.745 0.178
Na 0.593 0.952 0.569
Na 0.745 0.455 0.678
Na 0.862 0.138 0.000
Na 0.952 0.593 0.069
Na 0.996 0.418 0.406
Pd 0.260 0.508 0.802
Pd 0.508 0.260 0.302
O 0.179 0.217 0.661
O 0.217 0.179 0.161
O 0.546 0.572 0.407
O 0.572 0.546 0.907
O 0.766 0.867 0.323
O 0.867 0.766 0.823


Please write out number 3 again, unchanged.
Structure and calculated X-ray diffraction stick pattern of ZnCo8 (the PBE geometry in OQMD; Cu Ka).
Neutral-atom scattering factors, no anomalous dispersion.

The 8 most intense peaks (10 to 90 degrees two-theta), in order of rising 2θ:
d = 8.119 Å, intensity 268; d = 2.056 Å, intensity 981; d = 2.023 Å, intensity 1000; d = 1.977 Å, intensity 337; d = 1.929 Å, intensity 437; d = 1.807 Å, intensity 295; d = 1.761 Å, intensity 308; d = 1.732 Å, intensity 300

Crystal structure
abc: 4.286 4.286 24.358
angles: 90.31 90.31 47.67
Positions (direct):
Zn 0.048 0.048 0.222
Zn 0.952 0.952 0.778
Co 0.051 0.051 0.549
Co 0.149 0.149 0.646
Co 0.151 0.151 0.323
Co 0.248 0.248 0.419
Co 0.252 0.252 0.739
Co 0.350 0.350 0.516
Co 0.447 0.447 0.289
Co 0.451 0.451 0.613
Co 0.549 0.549 0.387
Co 0.553 0.553 0.711
Co 0.650 0.650 0.484
Co 0.748 0.748 0.261
Co 0.752 0.752 0.581
Co 0.849 0.849 0.677
Co 0.851 0.851 0.354
Co 0.949 0.949 0.451


- Number 2 is which compound?
  Ni9Ge2